[1]
# YB2C2
Theoretical XRD peak list, Cu Ka. Input: DFT lattice parameters and positions (GGA-PBE).
Neutral-atom scattering factors, no anomalous dispersion.

The 10 most intense peaks (2θ = 5–70°), by intensity:
- 2θ = 34.2°, I 100, (1 0 2)
- 2θ = 23.4°, I 73, (1 0 0)
- 2θ = 41.9°, I 54, (1 1 2)
- 2θ = 33.4°, I 31, (1 1 0)
- 2θ = 54.0°, I 28, (2 1 0)
- 2θ = 60.2°, I 19, (2 1 2)
- 2θ = 54.6°, I 18, (2 0 2)
- 2θ = 47.9°, I 16, (2 0 0)
- 2θ = 56.3°, I 14, (1 0 4)
- 2θ = 24.6°, I 13, (0 0 2)

Structural model:
abc: 3.799 3.799 7.240
angles: 90.00 90.00 90.00
Space group P4_2/mmc (No. 131)
Unique sites:
Y 0.000 0.000 0.250
B 0.215 0.500 0.000
C 0.188 0.500 0.500



[2]
# Y2B3C2
Theoretical XRD peak list, Cu Ka. Input: DFT lattice parameters and positions (GGA-PBE).
Neutral-atom scattering factors, no anomalous dispersion.

The 10 most intense peaks (2θ = 5–70°), by intensity:
- 2θ = 36.7°, I 100, (1 1 1)
- 2θ = 25.9°, I 90, (0 4 0)
- 2θ = 41.3°, I 87, (1 3 1)
- 2θ = 35.9°, I 76, (0 4 1)
- 2θ = 32.8°, I 65, (1 3 0)
- 2θ = 24.4°, I 58, (0 0 1)
- 2θ = 54.0°, I 43, (2 0 0)
- 2θ = 27.0°, I 41, (1 1 0)
- 2θ = 60.1°, I 40, (1 7 1)
- 2θ = 66.6°, I 24, (2 4 1)

Structural model:
abc: 3.396 13.739 3.652
angles: 90.00 90.00 90.00
Space group Cmmm (No. 65)
Unique sites:
Y 0.000 0.136 0.000
B 0.000 0.283 0.500
B 0.000 0.500 0.500
C 0.000 0.395 0.500



[3]
# YBC
Theoretical XRD peak list, Cu Ka. Input: DFT lattice parameters and positions (GGA-PBE).
Neutral-atom scattering factors, no anomalous dispersion.

The 10 most intense peaks (2θ = 5–70°), by intensity:
- 2θ = 9.3°, I 100, (0 2 0)
- 2θ = 39.5°, I 55, (1 3 1)
- 2θ = 18.7°, I 46, (0 4 0)
- 2θ = 29.9°, I 32, (1 3 0)
- 2θ = 28.2°, I 25, (0 6 0)
- 2θ = 37.1°, I 22, (1 1 1)
- 2θ = 25.3°, I 22, (0 0 1)
- 2θ = 31.6°, I 20, (0 4 1)
- 2θ = 38.2°, I 19, (0 6 1)
- 2θ = 50.2°, I 17, (1 7 1)

Structural model:
abc: 3.396 19.011 3.525
angles: 90.00 90.00 90.00
Space group Cmmm (No. 65)
Unique sites:
Y 0.000 0.155 0.000
B 0.000 0.277 0.500
C 0.000 0.355 0.500